This entry pairs a crystal structure of AgTeO3 with its computed powder diffractogram. Radiation: copper Kα. Structure: a cell relaxed with PBE.
Peak positions follow from Bragg's law for the DFT cell and can differ from measured ones.

The 8 most intense peaks (2θ = 5–70°), in order of rising 2θ:
22.60°, I 42.1, hkl 1 2 0; 28.61°, I 100.0, hkl 1 2 1; 30.05°, I 69.7, hkl 1 1 -3; 30.23°, I 37.4, hkl 0 4 0; 31.17°, I 59.5, hkl 2 1 -2; 32.25°, I 24.4, hkl 0 4 1; 38.02°, I 30.4, hkl 2 3 -2; 49.35°, I 27.4, hkl 1 6 0

Atomic structure:
```
data_AgTeO3
_chemical_formula_sum 'Ag8 Te8 O24'
_cell_length_a 6.0246
_cell_length_b 11.8267
_cell_length_c 9.2212
_cell_angle_alpha 90.00
_cell_angle_beta 118.97
_cell_angle_gamma 90.00
_space_group_name_H-M_alt 'P 1 21/c 1'
_space_group_IT_number 14
_space_group_name_Hall '-P 2ybc'
loop_
_atom_site_label
_atom_site_fract_x
_atom_site_fract_y
_atom_site_fract_z
Ag1 0.0719 0.1734 0.2234
Ag2 0.1075 0.6451 0.0304
Te1 0.4085 0.1233 0.0082
Te2 0.4341 0.5758 0.8138
O1 0.0852 0.1854 0.9387
O2 0.2685 0.0419 0.4838
O3 0.2732 0.5372 0.4450
O4 0.3576 0.1471 0.7758
O5 0.3871 0.7410 0.9116
O6 0.4768 0.0877 0.2369
```

This entry pairs a crystal structure of Ag2TeO3 with its computed powder diffractogram. Radiation: copper Kα. Structure: a cell relaxed with PBE.
Peak positions follow from Bragg's law for the DFT cell and can differ from measured ones.

The 8 most intense peaks (2θ = 5–70°), in order of rising 2θ:
30.07°, I 35.5, hkl 1 0 -2; 30.73°, I 100.0, hkl 1 0 2; 35.10°, I 65.1, hkl 0 3 2; 36.12°, I 33.6, hkl 2 0 0; 50.10°, I 10.6, hkl 0 0 4; 50.80°, I 29.3, hkl 2 3 -2; 51.70°, I 18.5, hkl 2 3 2; 59.51°, I 10.5, hkl 1 3 -4

Atomic structure:
```
data_Ag2TeO3
_chemical_formula_sum 'Ag8 Te4 O12'
_cell_length_a 4.9753
_cell_length_b 10.7734
_cell_length_c 7.2845
_cell_angle_alpha 90.00
_cell_angle_beta 91.36
_cell_angle_gamma 90.00
_space_group_name_H-M_alt 'P 1 21/c 1'
_space_group_IT_number 14
_space_group_name_Hall '-P 2ybc'
loop_
_atom_site_label
_atom_site_fract_x
_atom_site_fract_y
_atom_site_fract_z
Ag1 0.2485 0.0735 0.3872
Ag2 0.2519 0.7389 0.3661
Te1 0.2448 0.1017 0.8660
O1 0.1392 0.6137 0.6200
O2 0.2522 0.5219 0.1782
O3 0.2812 0.2431 0.7084
```

This entry pairs a crystal structure of AgTeO3 with its computed powder diffractogram. Radiation: copper Kα. Structure: a cell relaxed with PBE.
Peak positions follow from Bragg's law for the DFT cell and can differ from measured ones.

The 8 most intense peaks (2θ = 5–70°), in order of rising 2θ:
18.86°, I 29.1, hkl 1 0 2; 19.42°, I 34.8, hkl 1 1 -1; 26.86°, I 50.7, hkl 2 0 0; 29.33°, I 100.0, hkl 1 2 -1; 29.79°, I 23.0, hkl 1 0 4; 32.45°, I 24.5, hkl 2 1 -2; 35.10°, I 21.9, hkl 1 2 3; 39.89°, I 23.0, hkl 2 1 -4

Atomic structure:
```
data_AgTeO3
_chemical_formula_sum 'Ag8 Te8 O24'
_cell_length_a 6.6436
_cell_length_b 7.0620
_cell_length_c 13.5221
_cell_angle_alpha 90.00
_cell_angle_beta 90.78
_cell_angle_gamma 90.00
_space_group_name_H-M_alt 'P 1 21/c 1'
_space_group_IT_number 14
_space_group_name_Hall '-P 2ybc'
loop_
_atom_site_label
_atom_site_fract_x
_atom_site_fract_y
_atom_site_fract_z
Ag1 0.0063 0.1839 0.4313
Ag2 0.0295 0.5531 0.3022
Te1 0.3601 0.1599 0.6401
Te2 0.4964 0.6340 0.5905
O1 0.0773 0.1456 0.6407
O2 0.3122 0.1447 0.8007
O3 0.3118 0.6708 0.1285
O4 0.3271 0.0532 0.1603
O5 0.3283 0.1896 0.4827
O6 0.3459 0.5881 0.4630
```

This entry pairs a crystal structure of AgTeO3 with its computed powder diffractogram. Radiation: copper Kα. Structure: a cell relaxed with PBE.
Peak positions follow from Bragg's law for the DFT cell and can differ from measured ones.

The 8 most intense peaks (2θ = 5–70°), in order of rising 2θ:
27.78°, I 43.8, hkl 1 0 -2; 28.87°, I 100.0, hkl 1 2 0; 33.02°, I 25.2, hkl 2 0 0; 33.27°, I 22.7, hkl 1 0 2; 35.22°, I 30.8, hkl 0 2 2; 35.40°, I 13.3, hkl 1 1 2; 45.24°, I 25.6, hkl 2 2 -2; 48.36°, I 15.4, hkl 0 4 0

Atomic structure:
```
data_AgTeO3
_chemical_formula_sum 'Ag4 Te4 O12'
_cell_length_a 5.5289
_cell_length_b 7.5291
_cell_length_c 7.0546
_cell_angle_alpha 90.00
_cell_angle_beta 101.09
_cell_angle_gamma 90.00
_space_group_name_H-M_alt 'P 1 21/m 1'
_space_group_IT_number 11
_space_group_name_Hall '-P 2yb'
loop_
_atom_site_label
_atom_site_fract_x
_atom_site_fract_y
_atom_site_fract_z
Ag1 0.0000 0.0000 0.0000
Ag2 0.4430 0.2500 0.1862
Te1 0.0000 0.0000 0.5000
Te2 0.4807 0.7500 0.3170
O1 0.1048 0.7500 0.5633
O2 0.2315 0.0119 0.3262
O3 0.2607 0.0644 0.7233
O4 0.3364 0.7500 0.0547
```

This entry pairs a crystal structure of Ti4Ag2O9 with its computed powder diffractogram. Radiation: copper Kα. Structure: a cell relaxed with PBE.
Peak positions follow from Bragg's law for the DFT cell and can differ from measured ones.

The 8 most intense peaks (2θ = 5–70°), in order of rising 2θ:
28.72°, I 99.6, hkl 3 1 0; 30.85°, I 100.0, hkl 0 0 4; 31.05°, I 90.5, hkl 3 1 1; 33.28°, I 88.2, hkl 6 0 -3; 33.72°, I 48.0, hkl 3 1 -3; 35.41°, I 43.8, hkl 6 0 1; 38.64°, I 47.2, hkl 5 1 1; 48.61°, I 51.2, hkl 0 2 0

Atomic structure:
```
data_Ti4Ag2O9
_chemical_formula_sum 'Ti16 Ag8 O36'
_cell_length_a 17.5857
_cell_length_b 3.7460
_cell_length_c 12.2012
_cell_angle_alpha 90.00
_cell_angle_beta 108.15
_cell_angle_gamma 90.00
_space_group_name_H-M_alt 'C 1 2/m 1'
_space_group_IT_number 12
_space_group_name_Hall '-C 2y'
loop_
_atom_site_label
_atom_site_fract_x
_atom_site_fract_y
_atom_site_fract_z
Ti1 0.1133 0.0000 0.3638
Ti2 0.1519 0.0000 0.1217
Ti3 0.1990 0.0000 0.8937
Ti4 0.2452 0.0000 0.6646
Ag1 0.0225 0.5000 0.8616
Ag2 0.0613 0.5000 0.6303
O1 0.0182 0.0000 0.3798
O2 0.0679 0.0000 0.1753
O3 0.1118 0.0000 0.9541
O4 0.1432 0.5000 0.3523
O5 0.1579 0.0000 0.7378
O6 0.1804 0.0000 0.5234
O7 0.1854 0.5000 0.1364
O8 0.2271 0.0000 0.2956
O9 0.2300 0.5000 0.9216
```

This entry pairs a crystal structure of TiAg2O3 with its computed powder diffractogram. Radiation: copper Kα. Structure: a cell relaxed with PBE.
Peak positions follow from Bragg's law for the DFT cell and can differ from measured ones.

The 8 most intense peaks (2θ = 5–70°), in order of rising 2θ:
32.26°, I 41.4, hkl 6 0 0; 32.74°, I 79.3, hkl 2 2 1; 33.12°, I 100.0, hkl 4 2 -1; 35.55°, I 34.6, hkl 2 0 -2; 45.73°, I 14.7, hkl 0 4 0; 48.20°, I 22.7, hkl 4 0 2; 57.07°, I 15.4, hkl 6 4 0; 57.59°, I 18.8, hkl 8 2 1

Atomic structure:
```
data_TiAg2O3
_chemical_formula_sum 'Ti8 Ag16 O24'
_cell_length_a 17.2973
_cell_length_b 7.9362
_cell_length_c 5.0514
_cell_angle_alpha 90.00
_cell_angle_beta 105.74
_cell_angle_gamma 90.00
_space_group_name_H-M_alt 'C 1 2/c 1'
_space_group_IT_number 15
_space_group_name_Hall '-C 2yc'
loop_
_atom_site_label
_atom_site_fract_x
_atom_site_fract_y
_atom_site_fract_z
Ti1 0.0770 0.1205 0.1179
Ag1 0.0947 0.4068 0.5762
Ag2 0.2478 0.3746 0.2687
O1 0.0000 0.0705 0.7500
O2 0.0000 0.2599 0.2500
O3 0.1315 0.3046 0.0321
O4 0.1365 0.0643 0.4864
```

This entry pairs a crystal structure of TlAgO2 with its computed powder diffractogram. Radiation: copper Kα. Structure: a cell relaxed with PBE.
Peak positions follow from Bragg's law for the DFT cell and can differ from measured ones.

The 8 most intense peaks (2θ = 5–70°), in order of rising 2θ:
13.66°, I 21.9, hkl 0 0 2; 27.52°, I 35.8, hkl 0 0 4; 30.36°, I 25.6, hkl 1 0 1; 32.69°, I 100.0, hkl 1 0 2; 40.82°, I 20.9, hkl 1 0 4; 52.03°, I 32.1, hkl 1 0 6; 52.43°, I 24.7, hkl 1 1 0; 60.23°, I 24.6, hkl 1 1 4

Atomic structure:
```
data_TlAgO2
_chemical_formula_sum 'Tl2 Ag2 O4'
_cell_length_a 3.4904
_cell_length_b 3.4904
_cell_length_c 12.9625
_cell_angle_alpha 90.00
_cell_angle_beta 90.00
_cell_angle_gamma 120.00
_space_group_name_H-M_alt 'P 63/m m c'
_space_group_IT_number 194
_space_group_name_Hall '-P 6c 2c'
loop_
_atom_site_label
_atom_site_fract_x
_atom_site_fract_y
_atom_site_fract_z
Tl1 0.0000 0.0000 0.0000
Ag1 0.3333 0.6667 0.2500
O1 0.3333 0.6667 0.0878
```

This entry pairs a crystal structure of YAgO3 with its computed powder diffractogram. Radiation: copper Kα. Structure: a cell relaxed with PBE.
Peak positions follow from Bragg's law for the DFT cell and can differ from measured ones.

The 8 most intense peaks (2θ = 5–70°), in order of rising 2θ:
28.46°, I 100.0, hkl 1 1 1; 30.69°, I 41.6, hkl 0 0 4; 31.47°, I 87.4, hkl 1 1 2; 35.98°, I 20.8, hkl 1 1 3; 48.00°, I 24.0, hkl 1 1 5; 48.41°, I 54.3, hkl 3 0 0; 55.05°, I 20.8, hkl 1 1 6; 58.41°, I 37.6, hkl 3 0 4

Atomic structure:
```
data_YAgO3
_chemical_formula_sum 'Y6 Ag6 O18'
_cell_length_a 6.5138
_cell_length_b 6.5138
_cell_length_c 11.6537
_cell_angle_alpha 90.00
_cell_angle_beta 90.00
_cell_angle_gamma 120.00
_space_group_name_H-M_alt 'P 63 c m'
_space_group_IT_number 185
_space_group_name_Hall 'P 6c -2'
loop_
_atom_site_label
_atom_site_fract_x
_atom_site_fract_y
_atom_site_fract_z
Y1 0.0000 0.0000 0.0000
Y2 0.3333 0.6667 0.4600
Ag1 0.0000 0.3327 0.2282
O1 0.0000 0.0000 0.1988
O2 0.0000 0.3104 0.4012
O3 0.0000 0.3566 0.0548
O4 0.3333 0.6667 0.2546
```

This entry pairs a crystal structure of YAgO3 with its computed powder diffractogram. Radiation: copper Kα. Structure: a cell relaxed with PBE.
Peak positions follow from Bragg's law for the DFT cell and can differ from measured ones.

The 6 most intense peaks (2θ = 5–70°), in order of rising 2θ:
28.52°, I 100.0, hkl 1 1 0; 35.11°, I 5.7, hkl 1 1 1; 40.77°, I 34.0, hkl 2 0 0; 50.50°, I 40.2, hkl 2 1 1; 59.02°, I 20.7, hkl 2 2 0; 66.83°, I 17.0, hkl 3 1 0

Atomic structure:
```
data_YAgO3
_chemical_formula_sum 'Y1 Ag1 O3'
_cell_length_a 4.4267
_cell_length_b 4.4267
_cell_length_c 4.4267
_cell_angle_alpha 90.00
_cell_angle_beta 90.00
_cell_angle_gamma 90.00
_space_group_name_H-M_alt 'P m -3 m'
_space_group_IT_number 221
_space_group_name_Hall '-P 4 2 3'
loop_
_atom_site_label
_atom_site_fract_x
_atom_site_fract_y
_atom_site_fract_z
Y1 0.0000 0.0000 0.0000
Ag1 0.5000 0.5000 0.5000
O1 0.0000 0.0000 0.5000
```

This entry pairs a crystal structure of YAgO3 with its computed powder diffractogram. Radiation: copper Kα. Structure: a cell relaxed with PBE.
Peak positions follow from Bragg's law for the DFT cell and can differ from measured ones.

The 8 most intense peaks (2θ = 5–70°), in order of rising 2θ:
21.92°, I 5.4, hkl 1 0 0; 31.20°, I 100.0, hkl 1 1 0; 38.46°, I 0.8, hkl 1 1 1; 44.70°, I 32.4, hkl 2 0 0; 50.32°, I 1.9, hkl 2 1 0; 55.52°, I 38.1, hkl 2 1 1; 65.07°, I 19.0, hkl 2 2 0; 69.56°, I 0.7, hkl 3 0 0

Atomic structure:
```
data_YAgO3
_chemical_formula_sum 'Y1 Ag1 O3'
_cell_length_a 4.0544
_cell_length_b 4.0544
_cell_length_c 4.0544
_cell_angle_alpha 90.00
_cell_angle_beta 90.00
_cell_angle_gamma 90.00
_space_group_name_H-M_alt 'P m -3 m'
_space_group_IT_number 221
_space_group_name_Hall '-P 4 2 3'
loop_
_atom_site_label
_atom_site_fract_x
_atom_site_fract_y
_atom_site_fract_z
Y1 0.0000 0.0000 0.0000
Ag1 0.5000 0.5000 0.5000
O1 0.0000 0.5000 0.5000
```

What is the formula in the eighth record?
YAgO3

What is the formula in the eighth record?
YAgO3